1.
Calculated X-ray diffraction stick pattern of La4Pr3Y4 for Cu Kα X-rays, from the PBE geometry in Alexandria.

Cell and atoms:
a b c (Å): 3.6698 5.2141 40.2124
angles (deg): 90.00 90.00 90.00
Space group Immm (No. 71)
Asymmetric unit:
La (0.0000, 0.0000, 0.0910) [4 per cell]
La (0.0000, 0.0000, 0.2721) [4 per cell]
Pr (0.0000, 0.0000, 0.0000) [2 per cell]
Pr (0.0000, 0.0000, 0.3633) [4 per cell]
Y (0.0000, 0.0000, 0.1814) [4 per cell]
Y (0.0000, 0.0000, 0.4551) [4 per cell]

Top 12 peaks for 10° ≤ 2θ ≤ 90°, sorted by position:
Position (°2θ)  I/Imax
29.81  100
34.40  17
34.63  33
49.63  30
49.89  6
58.81  14
59.05  14
59.19  14
61.83  7
62.01  6
80.66  9
83.31  8

2.
Calculated X-ray diffraction stick pattern of La5Sb4H for Cu Kα X-rays, from the PBE geometry in Alexandria.

Cell and atoms:
a b c (Å): 10.1462 10.1462 6.4794
angles (deg): 90.00 90.00 90.00
Space group I4 (No. 79)
Asymmetric unit:
La (0.0000, 0.0000, 0.0000) [2 per cell]
La (0.1018, 0.6989, 0.5540) [8 per cell]
Sb (0.0979, 0.7015, 0.0541) [8 per cell]
H (0.0000, 0.0000, 0.6175) [2 per cell]

Top 12 peaks for 10° ≤ 2θ ≤ 90°, sorted by position:
Position (°2θ)  I/Imax
23.94  10
27.53  48
27.81  100
39.53  75
39.73  38
49.02  40
57.44  13
64.43  16
64.86  17
65.00  17
71.57  12
71.97  25

3.
Calculated X-ray diffraction stick pattern of Sm2In3Hg3 for Cu Kα X-rays, from the PBE geometry in Alexandria.

Cell and atoms:
a b c (Å): 4.6516 4.6786 9.2823
angles (deg): 90.00 90.00 90.00
Space group Pmmm (No. 47)
Asymmetric unit:
Sm (0.0000, 0.0000, 0.2482) [2 per cell]
In (0.0000, 0.5000, 0.5000) [1 per cell]
In (0.5000, 0.0000, 0.0000) [1 per cell]
In (0.5000, 0.0000, 0.5000) [1 per cell]
Hg (0.0000, 0.5000, 0.0000) [1 per cell]
Hg (0.5000, 0.5000, 0.2550) [2 per cell]

Top 12 peaks for 10° ≤ 2θ ≤ 90°, sorted by position:
Position (°2θ)  I/Imax
18.97  2
33.32  100
38.48  17
38.76  33
55.77  23
55.98  11
66.35  14
66.66  13
66.79  13
69.98  12
82.46  2
83.05  2